[1]
Diffraction record for SrMn2H8. The powder diffraction line list is simulated, not measured: it uses a GGA-PBE-relaxed structure and Cu Ka.
Kinematic intensities with the Lorentz-polarization factor, no thermal factor.

Most intense lines, 2θ = 10–90°, low angle first:
| 2θ (°) | d_spacing | intensity |
| --- | --- | --- |
| 29.17 | 3.061 | 100 |
| 37.06 | 2.426 | 16 |
| 39.56 | 2.278 | 42 |
| 49.90 | 1.827 | 22 |
| 55.32 | 1.661 | 30 |
| 62.01 | 1.497 | 11 |
| 65.48 | 1.425 | 19 |
| 71.77 | 1.315 | 7 |
| 83.64 | 1.156 | 9 |
| 89.36 | 1.096 | 8 |

Structural model:
```
11
Lattice="4.556 0.000 0.000 -2.278 3.946 0.000 0.000 0.000 4.852" Properties=species:S:1:pos:R:3 pbc="T T T"
Sr 0.000 0.000 0.000
Mn 0.000 2.630 2.410
Mn 2.278 1.315 2.410
H -0.649 1.124 2.785
H -1.240 2.148 1.319
H 1.298 0.000 2.785
H 0.000 2.630 4.014
H 1.038 1.797 1.319
H 2.481 0.000 1.319
H 2.278 1.315 4.014
H 1.629 2.821 2.785
```

=====

[2]
Diffraction record for Sr2Pr2Tl3. The powder diffraction line list is simulated, not measured: it uses a GGA-PBE-relaxed structure and Cu Ka.
Kinematic intensities with the Lorentz-polarization factor, no thermal factor.

Most intense lines, 2θ = 10–90°, low angle first:
| 2θ (°) | d_spacing | intensity |
| --- | --- | --- |
| 11.21 | 7.894 | 9 |
| 16.31 | 5.435 | 16 |
| 30.89 | 2.895 | 27 |
| 31.97 | 2.800 | 100 |
| 32.80 | 2.730 | 26 |
| 45.68 | 1.986 | 21 |
| 55.62 | 1.652 | 21 |
| 56.43 | 1.631 | 10 |
| 58.04 | 1.589 | 18 |
| 66.83 | 1.400 | 12 |

Structural model:
```
14
Lattice="7.953 0.000 0.000 0.000 15.787 0.000 -3.744 0.000 3.974" Properties=species:S:1:pos:R:3 pbc="T T T"
Sr 0.000 1.870 0.000
Sr 0.000 13.917 0.000
Sr 3.976 6.024 0.000
Sr 3.976 9.763 0.000
Pr 0.000 5.885 0.000
Pr 0.000 9.902 0.000
Pr 3.976 2.009 0.000
Pr 3.976 13.779 0.000
Tl -1.872 3.946 1.987
Tl -1.872 7.894 1.987
Tl -1.872 11.841 1.987
Tl 2.105 0.000 1.987
Tl 2.105 3.947 1.987
Tl 2.105 11.840 1.987
```

=====

[3]
Diffraction record for HfTi6Pd12. The powder diffraction line list is simulated, not measured: it uses a GGA-PBE-relaxed structure and Cu Ka.
Kinematic intensities with the Lorentz-polarization factor, no thermal factor.

Most intense lines, 2θ = 10–90°, low angle first:
| 2θ (°) | d_spacing | intensity |
| --- | --- | --- |
| 26.23 | 3.398 | 19 |
| 29.11 | 3.067 | 62 |
| 39.37 | 2.289 | 100 |
| 39.79 | 2.265 | 54 |
| 40.62 | 2.221 | 54 |
| 41.74 | 2.164 | 59 |
| 42.34 | 2.135 | 87 |
| 44.10 | 2.053 | 36 |
| 49.62 | 1.837 | 16 |
| 71.03 | 1.327 | 16 |

Structural model:
```
19
Lattice="4.861 2.807 3.838 -4.861 2.807 3.838 0.000 -5.613 3.838" Properties=species:S:1:pos:R:3 pbc="T T T"
Hf 0.000 0.000 0.000
Ti -2.846 0.722 4.304
Ti 0.798 -2.826 4.304
Ti -2.048 -2.104 7.209
Ti 2.048 2.104 4.304
Ti -0.798 2.826 7.209
Ti 2.846 -0.722 7.209
Pd -0.638 -1.594 2.015
Pd -1.062 1.349 2.015
Pd -1.328 -1.337 4.743
Pd 1.700 0.245 2.015
Pd -1.822 0.482 6.770
Pd -0.494 1.818 4.743
Pd 0.494 -1.818 6.770
Pd 1.822 -0.482 4.743
Pd -1.700 -0.245 9.498
Pd 1.328 1.337 6.770
Pd 1.062 -1.349 9.499
Pd 0.638 1.594 9.499
```

=====

- What is the formula in the first record?
  SrMn2H8